This entry pairs a crystal structure of Pm5NdY12 with its calculated powder diffractogram. Radiation: Cu Kα (λ = 1.5418 Å). Structure: the GGA-PBE geometry in Alexandria.
Neutral-atom scattering factors, no anomalous dispersion.

Structure:
```
data_Pm5NdY12
_chemical_formula_sum 'Pm5 Nd1 Y12'
_space_group_name_H-M_alt 'P 1 2/m 1'
_space_group_IT_number 10
_cell_length_a 10.786
_cell_length_b 5.094
_cell_length_c 10.803
_cell_angle_alpha 90.00
_cell_angle_beta 90.13
_cell_angle_gamma 90.00
loop_
_space_group_symop_operation_xyz
'x,y,z'
'-x,-y,-z'
'-x,y,-z'
'x,-y,z'
loop_
_atom_site_label
_atom_site_type_symbol
_atom_site_fract_x
_atom_site_fract_y
_atom_site_fract_z
_atom_site_occupancy
Pm1 Pm 0.000 0.000 0.000 1
Pm2 Pm 0.167 0.500 0.833 1
Pm3 Pm 0.333 0.000 0.667 1
Nd1 Nd 0.500 0.500 0.500 1
Y1 Y 0.000 0.000 0.334 1
Y2 Y 0.166 0.500 0.499 1
Y3 Y 0.167 0.500 0.167 1
Y4 Y 0.333 0.000 0.333 1
Y5 Y 0.334 0.000 0.000 1
Y6 Y 0.499 0.500 0.166 1
```

Largest 8 diffraction maxima, in order of falling intensity, 10 to 90 degrees two-theta:
- d 2.939, 2θ 30.41, intensity 100.0, (3 1 0)
- d 2.545, 2θ 35.26, intensity 50.2, (3 0 3)
- d 1.800, 2θ 50.71, intensity 29.3, (3 2 3)
- d 1.536, 2θ 60.27, intensity 27.7, (3 3 0)
- d 1.533, 2θ 60.37, intensity 13.8, (6 1 3)
- d 1.469, 2θ 63.28, intensity 11.9, (6 2 0)
- d 1.168, 2θ 82.58, intensity 11.1, (3 3 6)
- d 1.139, 2θ 85.19, intensity 9.1, (3 4 3)


This entry pairs a crystal structure of PrNd2Er2 with its calculated powder diffractogram. Radiation: Cu Kα (λ = 1.5418 Å). Structure: the GGA-PBE geometry in Alexandria.
Neutral-atom scattering factors, no anomalous dispersion.

Structure:
```
data_PrNd2Er2
_chemical_formula_sum 'Pr2 Nd4 Er4'
_space_group_name_H-M_alt 'I m m m'
_space_group_IT_number 71
_space_group_name_Hall '-I 2 2'
_cell_length_a 3.558
_cell_length_b 5.727
_cell_length_c 16.532
_cell_angle_alpha 90.00
_cell_angle_beta 90.00
_cell_angle_gamma 90.00
loop_
_atom_site_label
_atom_site_type_symbol
_atom_site_fract_x
_atom_site_fract_y
_atom_site_fract_z
_atom_site_occupancy
Pr1 Pr 0.000 0.000 0.000 1
Nd1 Nd 0.000 0.500 0.287 1
Er1 Er 0.000 0.000 0.401 1
```

Largest 8 diffraction maxima, in order of falling intensity, 10 to 90 degrees two-theta:
- d 2.863, 2θ 31.24, intensity 100.0, (0 2 0)
- d 2.839, 2θ 31.52, intensity 60.8, (1 1 2)
- d 1.511, 2θ 61.35, intensity 29.2, (2 2 0)
- d 2.989, 2θ 29.89, intensity 23.8, (1 0 3)
- d 1.653, 2θ 55.59, intensity 18.0, (0 3 5)
- d 2.068, 2θ 43.78, intensity 17.3, (1 2 3)
- d 1.622, 2θ 56.77, intensity 13.6, (1 2 7)
- d 2.440, 2θ 36.84, intensity 13.4, (1 1 4)


This entry pairs a crystal structure of Nb2CdI with its calculated powder diffractogram. Radiation: Cu Kα (λ = 1.5418 Å). Structure: the GGA-PBE geometry in Alexandria.
Neutral-atom scattering factors, no anomalous dispersion.

Structure:
```
data_Nb2CdI
_chemical_formula_sum 'Nb8 Cd4 I4'
_space_group_name_H-M_alt 'F m -3 m'
_space_group_IT_number 225
_space_group_name_Hall '-F 4 2 3'
_cell_length_a 6.838
_cell_length_b 6.838
_cell_length_c 6.838
_cell_angle_alpha 90.00
_cell_angle_beta 90.00
_cell_angle_gamma 90.00
loop_
_atom_site_label
_atom_site_type_symbol
_atom_site_fract_x
_atom_site_fract_y
_atom_site_fract_z
_atom_site_occupancy
Nb1 Nb 0.250 0.250 0.250 1
Cd1 Cd 0.000 0.000 0.000 1
I1 I 0.000 0.000 0.500 1
```

Largest 6 diffraction maxima, in order of falling intensity, 10 to 90 degrees two-theta:
- d 2.418, 2θ 37.19, intensity 100.0, (2 2 0)
- d 1.396, 2θ 67.05, intensity 33.9, (4 2 2)
- d 1.710, 2θ 53.61, intensity 16.9, (4 0 0)
- d 1.209, 2θ 79.24, intensity 10.5, (4 4 0)
- d 3.419, 2θ 26.06, intensity 1.6, (2 0 0)
- d 1.529, 2θ 60.55, intensity 0.6, (4 2 0)


This entry pairs a crystal structure of TbSi2Pt3 with its calculated powder diffractogram. Radiation: Cu Kα (λ = 1.5418 Å). Structure: the GGA-PBE geometry in Alexandria.
Neutral-atom scattering factors, no anomalous dispersion.

Structure:
```
data_TbSi2Pt3
_chemical_formula_sum 'Tb6 Si12 Pt18'
_space_group_name_H-M_alt 'C 1 2/m 1'
_space_group_IT_number 12
_cell_length_a 16.263
_cell_length_b 3.978
_cell_length_c 9.946
_cell_angle_alpha 90.00
_cell_angle_beta 107.50
_cell_angle_gamma 90.00
loop_
_space_group_symop_operation_xyz
'x,y,z'
'-x,-y,-z'
'-x,y,-z'
'x,-y,z'
'x+1/2,y+1/2,z'
'-x+1/2,-y+1/2,-z'
'-x+1/2,y+1/2,-z'
'x+1/2,-y+1/2,z'
loop_
_atom_site_label
_atom_site_type_symbol
_atom_site_fract_x
_atom_site_fract_y
_atom_site_fract_z
_atom_site_occupancy
Tb1 Tb 0.000 0.000 0.000 1
Tb2 Tb 0.153 0.000 0.689 1
Si1 Si 0.037 0.500 0.777 1
Si2 Si 0.137 0.500 0.448 1
Si3 Si 0.201 0.000 0.133 1
Pt1 Pt 0.000 0.500 0.500 1
Pt2 Pt 0.039 0.000 0.327 1
Pt3 Pt 0.122 0.500 0.194 1
Pt4 Pt 0.175 0.500 0.952 1
Pt5 Pt 0.225 0.000 0.389 1
```

Largest 8 diffraction maxima, in order of falling intensity, 10 to 90 degrees two-theta:
- d 2.539, 2θ 35.35, intensity 100.0, (1 1 -3)
- d 2.840, 2θ 31.50, intensity 53.0, (3 1 1)
- d 2.420, 2θ 37.15, intensity 40.2, (5 1 -2)
- d 1.989, 2θ 45.61, intensity 39.9, (0 2 0)
- d 2.088, 2θ 43.33, intensity 25.0, (6 0 -4)
- d 2.517, 2θ 35.67, intensity 23.7, (5 1 -1)
- d 2.244, 2θ 40.20, intensity 22.5, (5 1 1)
- d 3.167, 2θ 28.18, intensity 21.2, (0 0 3)